# 1
For Er3Al3Zn8, a PBE-relaxed structure gives the calculated powder diffractogram in this record (Cu Kα X-rays).

Principal peaks in the range 2θ from 10° to 90°, by angle:
d [Å], 2θ/deg, intensity
3.813, 23.33, 17
2.955, 30.24, 29
2.611, 34.35, 23
2.536, 35.40, 59
2.526, 35.53, 29
2.512, 35.74, 100
2.422, 37.12, 24
2.100, 43.08, 36
2.079, 43.52, 18
1.735, 52.75, 22

Structural model:
```
Er3Al3Zn8
1.0
-2.0999 4.7709 6.2384
2.0999 -4.7709 6.2384
2.0999 4.7709 -6.2384
Er Al Zn
3 3 8
direct
0.0000 0.0000 0.0000 Er
0.3045 0.3045 0.0000 Er
0.6955 0.6955 0.0000 Er
0.2939 0.5000 0.7939 Al
0.5000 0.0000 0.5000 Al
0.7061 0.5000 0.2061 Al
0.0309 0.6614 0.3694 Zn
0.1361 0.8593 0.2768 Zn
0.2920 0.6614 0.6306 Zn
0.4175 0.1407 0.2768 Zn
0.5825 0.8593 0.7232 Zn
0.7080 0.3386 0.3694 Zn
0.8639 0.1407 0.7232 Zn
0.9691 0.3386 0.6306 Zn
```

# 2
For Zn2B2PbO6, a PBE-relaxed structure gives the calculated powder diffractogram in this record (Cu Kα X-rays).

Principal peaks in the range 2θ from 10° to 90°, by angle:
d [Å], 2θ/deg, intensity
4.757, 18.65, 24
4.541, 19.55, 42
3.815, 23.31, 33
3.440, 25.90, 18
3.027, 29.51, 100
2.964, 30.15, 31
2.766, 32.37, 15
2.490, 36.07, 17
1.781, 51.29, 19
1.643, 55.97, 19

Structural model:
```
Zn2B2PbO6
1.0
4.9799 0.0000 0.0000
0.0000 11.0636 0.0000
0.0000 0.0000 10.5384
Zn B Pb O
8 8 4 24
direct
0.1818 0.0026 0.1500 Zn
0.1818 0.4974 0.6500 Zn
0.3182 0.0026 0.6500 Zn
0.3182 0.4974 0.1500 Zn
0.6818 0.5026 0.8500 Zn
0.6818 0.9974 0.3500 Zn
0.8182 0.5026 0.3500 Zn
0.8182 0.9974 0.8500 Zn
0.1945 0.6064 0.9171 B
0.1945 0.8936 0.4171 B
0.3055 0.6064 0.4171 B
0.3055 0.8936 0.9171 B
0.6945 0.1064 0.0829 B
0.6945 0.3936 0.5829 B
0.8055 0.1064 0.5829 B
0.8055 0.3936 0.0829 B
0.2500 0.2500 0.4263 Pb
0.2500 0.2500 0.9263 Pb
0.7500 0.7500 0.0737 Pb
0.7500 0.7500 0.5737 Pb
0.0787 0.1302 0.5863 O
0.0787 0.3698 0.0863 O
0.1553 0.6271 0.5247 O
0.1553 0.8729 0.0247 O
0.1821 0.5570 0.3117 O
0.1821 0.9430 0.8117 O
0.3179 0.5570 0.8117 O
0.3179 0.9430 0.3117 O
0.3447 0.6271 0.0247 O
0.3447 0.8729 0.5247 O
0.4213 0.1302 0.0863 O
0.4213 0.3698 0.5863 O
0.5787 0.6302 0.4137 O
0.5787 0.8698 0.9137 O
0.6553 0.1271 0.4753 O
0.6553 0.3729 0.9753 O
0.6821 0.0570 0.6883 O
0.6821 0.4430 0.1883 O
0.8179 0.0570 0.1883 O
0.8179 0.4430 0.6883 O
0.8447 0.1271 0.9753 O
0.8447 0.3729 0.4753 O
0.9213 0.6302 0.9137 O
0.9213 0.8698 0.4137 O
```

# 3
For Ho2ErTl2Cd4, a PBE-relaxed structure gives the calculated powder diffractogram in this record (Cu Kα X-rays).

Principal peaks in the range 2θ from 10° to 90°, by angle:
d [Å], 2θ/deg, intensity
2.899, 30.84, 77
2.649, 33.83, 100
2.465, 36.45, 38
2.272, 39.67, 31
2.174, 41.54, 21
2.167, 41.68, 23
1.681, 54.61, 14
1.671, 54.96, 23
1.571, 58.79, 15
1.421, 65.70, 20

Structural model:
```
Ho2ErTl2Cd4
1.0
4.5437 0.0000 0.0000
0.0000 6.5172 3.7684
0.0000 -6.5172 3.7684
Ho Er Tl Cd
2 1 2 4
direct
0.0000 0.2140 0.7860 Ho
0.0000 0.7860 0.2140 Ho
0.0000 0.6420 0.6420 Er
0.5000 0.5477 0.8803 Tl
0.5000 0.8803 0.5477 Tl
0.0000 0.2149 0.2149 Cd
0.5000 0.2142 0.4550 Cd
0.5000 0.4550 0.2142 Cd
0.5000 0.9736 0.9736 Cd
```

# 4
For Li2Pr2O5, a PBE-relaxed structure gives the calculated powder diffractogram in this record (Cu Kα X-rays).

Principal peaks in the range 2θ from 10° to 90°, by angle:
d [Å], 2θ/deg, intensity
4.284, 20.74, 100
4.179, 21.26, 35
3.029, 29.49, 29
2.991, 29.87, 67
2.453, 36.64, 31
2.142, 42.19, 26
1.916, 47.46, 22
1.906, 47.71, 17
1.741, 52.55, 28
1.720, 53.26, 19

Structural model:
```
Li2Pr2O5
1.0
4.2837 0.0000 0.0000
0.0000 4.2837 0.0000
0.0000 0.0000 8.3580
Li Pr O
2 2 5
direct
0.0000 0.0000 0.0000 Li
0.0000 0.0000 0.5000 Li
0.5000 0.5000 0.2267 Pr
0.5000 0.5000 0.7733 Pr
0.0000 0.5000 0.1342 O
0.0000 0.5000 0.8658 O
0.5000 0.0000 0.1342 O
0.5000 0.0000 0.8658 O
0.5000 0.5000 0.5000 O
```